Simulated X-ray diffraction stick pattern of Cs6Br5 for CuKα, from a cell relaxed with GGA-PBE.
Neutral-atom scattering factors, no anomalous dispersion.

Main lines, sorted by position (10° ≤ 2θ ≤ 80°):
- (2 0 0), 2θ 20.75, d 4.281, I 9
- (1 3 1), 2θ 24.01, d 3.706, I 100
- (2 0 2), 2θ 34.22, d 2.621, I 79
- (1 3 3), 2θ 40.36, d 2.235, I 9
- (0 0 4), 2θ 42.24, d 2.140, I 29
- (2 6 2), 2θ 49.17, d 1.853, I 14
- (3 3 3), 2θ 55.44, d 1.657, I 39
- (1 3 5), 2θ 61.27, d 1.513, I 28
- (4 0 4), 2θ 72.08, d 1.310, I 9
- (1 3 -7), 2θ 77.23, d 1.235, I 17

Crystal structure
Unit cell a=9.077 b=15.720 c=9.080 alpha=90.00 beta=109.45 gamma=90.00
Space group C2/m (No. 12)
Symmetry-distinct sites (fractional):
Cs 0.246 0.000 0.253 [4 per cell]
Cs 0.247 0.169 0.748 [8 per cell]
Br 0.000 0.000 0.500 [2 per cell]
Br 0.000 0.167 0.000 [4 per cell]
Br 0.000 0.334 0.500 [4 per cell]